1.
AlPCl6: calculated powder XRD pattern (Cu Ka), based on the PBE geometry in Alexandria.

Principal peaks in the range 10 to 90 degrees two-theta, sorted by position:
(0 1 1), 14.63°, I 65; (1 1 0), 14.93°, I 32; (1 0 -1), 17.22°, I 43; (1 1 -1), 18.53°, I 41; (0 2 1), 18.81°, I 59; (1 2 0), 19.04°, I 37; (0 3 1), 24.23°, I 51; (1 3 -1), 26.82°, I 100; (1 0 2), 31.07°, I 35; (2 3 -1), 34.98°, I 24

```
data_AlPCl6
_chemical_formula_sum 'Al2 P2 Cl12'
_symmetry_space_group_name_H-M 'P 1 21 1'
_symmetry_Int_Tables_number 4
_cell_length_a 6.7283
_cell_length_b 13.0468
_cell_length_c 6.9026
_cell_angle_alpha 90.00
_cell_angle_beta 98.17
_cell_angle_gamma 90.00
loop_
_symmetry_equiv_pos_as_xyz
'x,y,z'
'-x,y+1/2,-z'
loop_
_atom_site_label
_atom_site_type_symbol
_atom_site_fract_x
_atom_site_fract_y
_atom_site_fract_z
_atom_site_occupancy
Al1 Al 0.1392 0.0000 0.0527 1
P1 P 0.4940 0.6862 0.7198 1
Cl1 Cl 0.1516 0.4942 0.8640 1
Cl2 Cl 0.1975 0.1243 0.8716 1
Cl3 Cl 0.2495 0.8545 0.9816 1
Cl4 Cl 0.2961 0.6888 0.4678 1
Cl5 Cl 0.2987 0.2904 0.3409 1
Cl6 Cl 0.3453 0.0414 0.3505 1
```

=====

2.
Al2PbCl: calculated powder XRD pattern (Cu Ka), based on the PBE geometry in Alexandria.

Principal peaks in the range 10 to 90 degrees two-theta, sorted by position:
(0 0 2), 18.04°, I 72; (0 0 3), 27.20°, I 34; (0 2 0), 30.06°, I 49; (1 1 0), 30.45°, I 30; (1 1 1), 31.81°, I 79; (0 2 2), 35.28°, I 29; (1 1 2), 35.62°, I 100; (1 1 3), 41.28°, I 29; (1 1 4), 48.28°, I 31; (1 3 2), 57.05°, I 26

```
data_Al2PbCl
_chemical_formula_sum 'Al4 Pb2 Cl2'
_symmetry_space_group_name_H-M 'C m m 2'
_symmetry_Int_Tables_number 35
_cell_length_a 3.3762
_cell_length_b 5.9451
_cell_length_c 9.8358
_cell_angle_alpha 90.00
_cell_angle_beta 90.00
_cell_angle_gamma 90.00
loop_
_symmetry_equiv_pos_as_xyz
'x,y,z'
'-x,-y,z'
'-x,y,z'
'x,-y,z'
'x+1/2,y+1/2,z'
'-x+1/2,-y+1/2,z'
'-x+1/2,y+1/2,z'
'x+1/2,-y+1/2,z'
loop_
_atom_site_label
_atom_site_type_symbol
_atom_site_fract_x
_atom_site_fract_y
_atom_site_fract_z
_atom_site_occupancy
Al1 Al 0.0000 0.0000 0.0000 1
Al2 Al 0.0000 0.5000 0.2098 1
Pb1 Pb 0.0000 0.0000 0.4568 1
Cl1 Cl 0.0000 0.5000 0.8218 1
```

=====

3.
AlTlPbCl6: calculated powder XRD pattern (Cu Ka), based on the PBE geometry in Alexandria.

Principal peaks in the range 10 to 90 degrees two-theta, sorted by position:
(1 0 1), 19.67°, I 100; (1 1 0), 25.37°, I 25; (1 0 2), 30.33°, I 14; (2 0 1), 32.30°, I 29; (2 -1 2), 36.98°, I 44; (3 -1 1), 41.51°, I 33; (1 0 3), 42.93°, I 13; (3 0 0), 44.71°, I 15; (3 1 1), 56.22°, I 13; (2 1 3), 57.36°, I 12

```
data_AlTlPbCl6
_chemical_formula_sum 'Al1 Tl1 Pb1 Cl6'
_symmetry_space_group_name_H-M 'P 3 1 2'
_symmetry_Int_Tables_number 149
_cell_length_a 7.0218
_cell_length_b 7.0218
_cell_length_c 6.7374
_cell_angle_alpha 90.00
_cell_angle_beta 90.00
_cell_angle_gamma 120.00
loop_
_symmetry_equiv_pos_as_xyz
'x,y,z'
'-y,x-y,z'
'-x+y,-x,z'
'-y,-x,-z'
'-x+y,y,-z'
'x,x-y,-z'
loop_
_atom_site_label
_atom_site_type_symbol
_atom_site_fract_x
_atom_site_fract_y
_atom_site_fract_z
_atom_site_occupancy
Al1 Al 0.0000 0.0000 0.0000 1
Tl1 Tl 0.3333 0.6667 0.5000 1
Pb1 Pb 0.6667 0.3333 0.0000 1
Cl1 Cl 0.2748 0.0062 0.2060 1
```

=====

4.
PmAlCl6: calculated powder XRD pattern (Cu Ka), based on the PBE geometry in Alexandria.

Principal peaks in the range 10 to 90 degrees two-theta, sorted by position:
(0 2 0), 14.13°, I 100; (1 1 0), 16.12°, I 19; (1 1 -1), 18.87°, I 75; (0 2 1), 20.33°, I 20; (1 1 1), 24.36°, I 25; (1 3 1), 31.73°, I 63; (2 0 -2), 35.39°, I 27; (1 5 1), 43.15°, I 20; (3 3 -1), 48.16°, I 17; (1 3 -3), 48.36°, I 17

```
data_PmAlCl6
_chemical_formula_sum 'Pm2 Al2 Cl12'
_symmetry_space_group_name_H-M 'C 1 2/m 1'
_symmetry_Int_Tables_number 12
_cell_length_a 6.3660
_cell_length_b 12.5394
_cell_length_c 6.3350
_cell_angle_alpha 90.00
_cell_angle_beta 106.03
_cell_angle_gamma 90.00
loop_
_symmetry_equiv_pos_as_xyz
'x,y,z'
'-x,-y,-z'
'-x,y,-z'
'x,-y,z'
'x+1/2,y+1/2,z'
'-x+1/2,-y+1/2,-z'
'-x+1/2,y+1/2,-z'
'x+1/2,-y+1/2,z'
loop_
_atom_site_label
_atom_site_type_symbol
_atom_site_fract_x
_atom_site_fract_y
_atom_site_fract_z
_atom_site_occupancy
Pm1 Pm 0.0000 0.0000 0.0000 1
Al1 Al 0.0000 0.5000 0.5000 1
Cl1 Cl 0.2126 0.3664 0.7164 1
Cl2 Cl 0.2361 0.5000 0.2680 1
```

=====

5.
Pr6AlCl8: calculated powder XRD pattern (Cu Ka), based on the PBE geometry in Alexandria.

Principal peaks in the range 10 to 90 degrees two-theta, sorted by position:
(0 0 6), 17.25°, I 17; (1 1 0), 24.73°, I 21; (2 -1 3), 26.23°, I 41; (1 1 6), 30.31°, I 100; (1 1 9), 36.19°, I 14; (2 -1 12), 43.25°, I 37; (3 0 0), 43.54°, I 31; (4 -2 6), 53.97°, I 18; (3 0 18), 71.33°, I 14; (4 1 6), 71.76°, I 15

```
data_Pr6AlCl8
_chemical_formula_sum 'Pr18 Al3 Cl24'
_symmetry_space_group_name_H-M 'R -3'
_symmetry_Int_Tables_number 148
_symmetry_space_group_name_Hall '-R 3'
_cell_length_a 7.1999
_cell_length_b 7.1999
_cell_length_c 30.8481
_cell_angle_alpha 90.00
_cell_angle_beta 90.00
_cell_angle_gamma 120.00
loop_
_atom_site_label
_atom_site_type_symbol
_atom_site_fract_x
_atom_site_fract_y
_atom_site_fract_z
_atom_site_occupancy
Pr1 Pr 0.0000 0.3206 0.4444 1
Al1 Al 0.0000 0.0000 0.5000 1
Cl1 Cl 0.0000 0.0000 0.1667 1
Cl2 Cl 0.0000 0.3321 0.6093 1
```

=====

6.
PuAlCl6: calculated powder XRD pattern (Cu Ka), based on the PBE geometry in Alexandria.

Principal peaks in the range 10 to 90 degrees two-theta, sorted by position:
(0 2 0), 14.42°, I 100; (0 0 1), 14.55°, I 24; (1 1 0), 16.12°, I 44; (1 1 -1), 18.90°, I 87; (0 2 1), 20.54°, I 34; (1 1 1), 24.34°, I 35; (1 3 0), 26.15°, I 26; (1 3 1), 32.00°, I 57; (0 4 1), 32.62°, I 26; (2 0 -2), 35.34°, I 25

```
data_PuAlCl6
_chemical_formula_sum 'Pu2 Al2 Cl12'
_symmetry_space_group_name_H-M 'C 1 2/m 1'
_symmetry_Int_Tables_number 12
_cell_length_a 6.3940
_cell_length_b 12.2836
_cell_length_c 6.3308
_cell_angle_alpha 90.00
_cell_angle_beta 105.97
_cell_angle_gamma 90.00
loop_
_symmetry_equiv_pos_as_xyz
'x,y,z'
'-x,-y,-z'
'-x,y,-z'
'x,-y,z'
'x+1/2,y+1/2,z'
'-x+1/2,-y+1/2,-z'
'-x+1/2,y+1/2,-z'
'x+1/2,-y+1/2,z'
loop_
_atom_site_label
_atom_site_type_symbol
_atom_site_fract_x
_atom_site_fract_y
_atom_site_fract_z
_atom_site_occupancy
Pu1 Pu 0.0000 0.0000 0.0000 1
Al1 Al 0.0000 0.5000 0.5000 1
Cl1 Cl 0.2115 0.3648 0.7193 1
Cl2 Cl 0.2380 0.5000 0.2710 1
```

=====

7.
RbAl2Cl6: calculated powder XRD pattern (Cu Ka), based on the PBE geometry in Alexandria.

Principal peaks in the range 10 to 90 degrees two-theta, sorted by position:
(0 0 3), 11.98°, I 23; (1 0 1), 14.03°, I 50; (0 1 2), 15.66°, I 25; (1 0 4), 20.96°, I 27; (0 0 6), 24.10°, I 18; (0 1 5), 24.21°, I 31; (1 1 3), 26.37°, I 100; (2 -1 6), 33.85°, I 27; (0 1 8), 35.15°, I 15; (3 0 0), 41.13°, I 25

```
data_RbAl2Cl6
_chemical_formula_sum 'Rb3 Al6 Cl18'
_symmetry_space_group_name_H-M 'R 3'
_symmetry_Int_Tables_number 146
_symmetry_space_group_name_Hall 'R 3'
_cell_length_a 7.6034
_cell_length_b 7.6034
_cell_length_c 22.1563
_cell_angle_alpha 90.00
_cell_angle_beta 90.00
_cell_angle_gamma 120.00
loop_
_atom_site_label
_atom_site_type_symbol
_atom_site_fract_x
_atom_site_fract_y
_atom_site_fract_z
_atom_site_occupancy
Rb1 Rb 0.0000 0.0000 0.0000 1
Al1 Al 0.0000 0.0000 0.6102 1
Al2 Al 0.0000 0.0000 0.7376 1
Cl1 Cl 0.0256 0.7406 0.7610 1
Cl2 Cl 0.0729 0.3811 0.2546 1
```

=====

8.
RbAl2TlCl8: calculated powder XRD pattern (Cu Ka), based on the PBE geometry in Alexandria.

Principal peaks in the range 10 to 90 degrees two-theta, sorted by position:
(0 1 2), 16.13°, I 32; (1 0 4), 19.33°, I 100; (0 1 5), 21.44°, I 24; (1 1 0), 25.98°, I 48; (0 1 8), 28.90°, I 42; (2 0 2), 30.73°, I 23; (2 -1 6), 32.02°, I 87; (2 1 4), 42.14°, I 25; (3 0 0), 45.83°, I 29; (1 1 12), 46.01°, I 38

```
data_RbAl2TlCl8
_chemical_formula_sum 'Rb3 Al6 Tl3 Cl24'
_symmetry_space_group_name_H-M 'R -3'
_symmetry_Int_Tables_number 148
_symmetry_space_group_name_Hall '-R 3'
_cell_length_a 6.8589
_cell_length_b 6.8589
_cell_length_c 28.9401
_cell_angle_alpha 90.00
_cell_angle_beta 90.00
_cell_angle_gamma 120.00
loop_
_atom_site_label
_atom_site_type_symbol
_atom_site_fract_x
_atom_site_fract_y
_atom_site_fract_z
_atom_site_occupancy
Rb1 Rb 0.0000 0.0000 0.0000 1
Al1 Al 0.0000 0.0000 0.2573 1
Tl1 Tl 0.0000 0.0000 0.5000 1
Cl1 Cl 0.0000 0.0000 0.3314 1
Cl2 Cl 0.0113 0.6099 0.4343 1
```

=====

Q: Number 6 is which compound?
A: PuAlCl6